No. 1
Calculated powder X-ray diffraction pattern
Compound: K2TlBiF6
Radiation: Cu Kα X-rays
Structure: a DFT-relaxed cell (GGA-PBE, the Materials Project)

Structure:
a = 9.810 Å, b = 9.810 Å, c = 9.810 Å
α = 90.00°, β = 90.00°, γ = 90.00°
Space group Fm-3m (No. 225)
Inequivalent atoms, fractional coordinates:
K: 0.250 0.250 0.250 (multiplicity 8)
Tl: 0.000 0.000 0.000 (multiplicity 4)
Bi: 0.000 0.000 0.500 (multiplicity 4)
F: 0.000 0.000 0.269 (multiplicity 24)

Largest 6 diffraction maxima, by angle, 5 to 70 degrees two-theta:
two_theta	d/Å	I_rel	h k l
18.09	4.905	74	2 0 0
25.68	3.468	100	2 2 0
36.64	2.453	36	4 0 0
41.15	2.194	38	4 2 0
45.29	2.002	44	4 2 2
52.79	1.734	24	4 4 0

=====

No. 2
Calculated powder X-ray diffraction pattern
Compound: La2Bi2S4OF
Radiation: Cu Kα X-rays
Structure: a DFT-relaxed cell (GGA-PBE, the Materials Project)

Structure:
a = 4.110 Å, b = 4.110 Å, c = 13.150 Å
α = 90.00°, β = 90.00°, γ = 90.00°
Space group P-4m2 (No. 115)
Inequivalent atoms, fractional coordinates:
La: 0.000 0.500 0.106 (multiplicity 2)
Bi: 0.000 0.500 0.616 (multiplicity 2)
S: 0.000 0.500 0.378 (multiplicity 2)
S: 0.000 0.500 0.817 (multiplicity 2)
O: 0.000 0.000 0.000 (multiplicity 1)
F: 0.500 0.500 0.000 (multiplicity 1)

Largest 6 diffraction maxima, by angle, 5 to 70 degrees two-theta:
two_theta	d/Å	I_rel	h k l
25.56	3.485	100	1 0 2
27.12	3.288	33	0 0 4
30.77	2.906	63	1 1 0
41.47	2.177	52	1 1 4
44.07	2.055	28	2 0 0
51.64	1.770	32	2 1 2

=====

No. 3
Calculated powder X-ray diffraction pattern
Compound: La4Bi4S8O3F
Radiation: Cu Kα X-rays
Structure: a DFT-relaxed cell (GGA-PBE, the Materials Project)

Structure:
a = 5.774 Å, b = 5.774 Å, c = 27.465 Å
α = 90.00°, β = 90.00°, γ = 90.00°
Space group I-42m (No. 121)
Inequivalent atoms, fractional coordinates:
La: 0.239 0.239 0.452 (multiplicity 8)
Bi: 0.250 0.250 0.188 (multiplicity 8)
S: 0.249 0.249 0.094 (multiplicity 8)
S: 0.250 0.250 0.309 (multiplicity 8)
O: 0.000 0.000 0.500 (multiplicity 2)
O: 0.000 0.500 0.000 (multiplicity 4)
F: 0.000 0.000 0.000 (multiplicity 2)

Largest 6 diffraction maxima, by angle, 5 to 70 degrees two-theta:
two_theta	d/Å	I_rel	h k l
25.38	3.509	100	1 1 4
25.95	3.433	33	0 0 8
30.98	2.887	62	2 0 0
40.84	2.210	49	2 0 8
44.37	2.041	27	2 2 0
51.81	1.765	31	3 1 4

=====

No. 4
Calculated powder X-ray diffraction pattern
Compound: Li2BiF5
Radiation: Cu Kα X-rays
Structure: a DFT-relaxed cell (GGA-PBE, the Materials Project)

Structure:
a = 7.241 Å, b = 7.241 Å, c = 4.751 Å
α = 90.00°, β = 90.00°, γ = 90.00°
Space group I4/m (No. 87)
Inequivalent atoms, fractional coordinates:
Li: 0.000 0.500 0.250 (multiplicity 4)
Bi: 0.000 0.000 0.000 (multiplicity 2)
F: 0.000 0.000 0.500 (multiplicity 2)
F: 0.053 0.310 0.000 (multiplicity 8)

Largest 6 diffraction maxima, by angle, 5 to 70 degrees two-theta:
two_theta	d/Å	I_rel	h k l
17.32	5.120	71	1 1 0
22.38	3.972	100	1 0 1
24.59	3.620	53	2 0 0
33.49	2.676	38	1 2 1
41.96	2.153	47	3 0 1
55.78	1.648	42	1 3 2